# TeMoWSe2S
Simulated X-ray diffraction stick pattern, Cu Kα, 1.54184 Å. Input: a DFT-relaxed cell (PBE, the Materials Project).
Peak positions follow from Bragg's law for the DFT cell and can differ from measured ones.

Structural model:
```
data_TeMoWSe2S
_cell_length_a 3.3457
_cell_length_b 3.3457
_cell_length_c 38.1114
_cell_angle_alpha 90.00
_cell_angle_beta 90.00
_cell_angle_gamma 120.00
_space_group_name_H-M_alt 'P 3 m 1'
_space_group_IT_number 156
loop_
_space_group_symop_operation_xyz
'x,y,z'
'-y,x-y,z'
'-x+y,-x,z'
'-y,-x,z'
'-x+y,y,z'
'x,x-y,z'
loop_
_atom_site_label
_atom_site_fract_x
_atom_site_fract_y
_atom_site_fract_z
Te1 0.0000 0.0000 0.0000
Te2 0.0000 0.0000 0.1001
Mo1 0.0000 0.0000 0.8622
Mo2 0.6667 0.3333 0.6744
W1 0.0000 0.0000 0.2380
W2 0.6667 0.3333 0.0501
Se1 0.0000 0.0000 0.6306
Se2 0.0000 0.0000 0.7181
Se3 0.6667 0.3333 0.1941
Se4 0.6667 0.3333 0.2820
S1 0.6667 0.3333 0.8224
S2 0.6667 0.3333 0.9020
```

Top 10 peaks for 5 to 70 degrees two-theta, low angle first:
(hkl)	2theta	d/Å	I/Imax
0 0 3	6.96	12.704	386
0 0 5	11.61	7.622	1000
0 0 6	13.94	6.352	165
1 0 0	30.88	2.896	420
1 0 8	36.29	2.476	822
0 1 9	37.62	2.391	135
1 0 13	43.94	2.061	467
0 1 14	45.73	1.984	143
1 1 0	54.90	1.673	304
0 2 8	67.59	1.386	131

# Te2Mo3WSe2S4
Simulated X-ray diffraction stick pattern, Cu Kα, 1.54184 Å. Input: a DFT-relaxed cell (PBE, the Materials Project).
Peak positions follow from Bragg's law for the DFT cell and can differ from measured ones.

Structural model:
```
data_Te2Mo3WSe2S4
_cell_length_a 3.3056
_cell_length_b 3.3056
_cell_length_c 37.6020
_cell_angle_alpha 90.00
_cell_angle_beta 90.00
_cell_angle_gamma 120.00
_space_group_name_H-M_alt 'P 3 m 1'
_space_group_IT_number 156
loop_
_space_group_symop_operation_xyz
'x,y,z'
'-y,x-y,z'
'-x+y,-x,z'
'-y,-x,z'
'-x+y,y,z'
'x,x-y,z'
loop_
_atom_site_label
_atom_site_fract_x
_atom_site_fract_y
_atom_site_fract_z
Te1 0.0000 0.0000 0.0000
Te2 0.0000 0.0000 0.1017
Mo1 0.0000 0.0000 0.8630
Mo2 0.3333 0.6667 0.0508
Mo3 0.3333 0.6667 0.4266
W1 0.0000 0.0000 0.2387
Se1 0.0000 0.0000 0.3819
Se2 0.0000 0.0000 0.4712
S1 0.3333 0.6667 0.1980
S2 0.3333 0.6667 0.2795
S3 0.3333 0.6667 0.8223
S4 0.3333 0.6667 0.9036
```

Top 10 peaks for 5 to 70 degrees two-theta, low angle first:
(hkl)	2theta	d/Å	I/Imax
0 0 3	7.05	12.534	182
0 0 5	11.77	7.520	1000
0 0 6	14.13	6.267	172
1 0 0	31.27	2.860	593
0 1 7	35.53	2.526	153
1 0 8	36.76	2.445	872
1 0 9	38.11	2.362	170
1 0 13	44.53	2.035	453
0 1 14	46.35	1.959	149
1 1 0	55.62	1.652	309

# Te2MoWSeS
Simulated X-ray diffraction stick pattern, Cu Kα, 1.54184 Å. Input: a DFT-relaxed cell (PBE, the Materials Project).
Peak positions follow from Bragg's law for the DFT cell and can differ from measured ones.

Structural model:
```
data_Te2MoWSeS
_cell_length_a 3.4016
_cell_length_b 3.4016
_cell_length_c 39.8238
_cell_angle_alpha 90.00
_cell_angle_beta 90.00
_cell_angle_gamma 120.00
_space_group_name_H-M_alt 'P 3 m 1'
_space_group_IT_number 156
loop_
_space_group_symop_operation_xyz
'x,y,z'
'-y,x-y,z'
'-x+y,-x,z'
'-y,-x,z'
'-x+y,y,z'
'x,x-y,z'
loop_
_atom_site_label
_atom_site_fract_x
_atom_site_fract_y
_atom_site_fract_z
Te1 0.0000 0.0000 0.0000
Te2 0.0000 0.0000 0.0945
Te3 0.3333 0.6667 0.8100
Te4 0.3333 0.6667 0.9045
Mo1 0.0000 0.0000 0.4826
Mo2 0.3333 0.6667 0.6700
W1 0.0000 0.0000 0.8572
W2 0.3333 0.6667 0.0473
Se1 0.0000 0.0000 0.6287
Se2 0.0000 0.0000 0.7114
S1 0.3333 0.6667 0.4449
S2 0.3333 0.6667 0.5203
```

Top 10 peaks for 5 to 70 degrees two-theta, low angle first:
(hkl)	2theta	d/Å	I/Imax
0 0 3	6.66	13.275	249
0 0 5	11.11	7.965	1000
0 0 6	13.34	6.637	152
1 0 0	30.36	2.944	430
0 1 7	34.28	2.616	151
1 0 8	35.41	2.535	765
1 0 9	36.65	2.452	173
0 1 13	42.58	2.123	522
1 0 14	44.26	2.046	175
1 1 0	53.92	1.700	333

# Te2MoWSeS
Simulated X-ray diffraction stick pattern, Cu Kα, 1.54184 Å. Input: a DFT-relaxed cell (PBE, the Materials Project).
Peak positions follow from Bragg's law for the DFT cell and can differ from measured ones.

Structural model:
```
data_Te2MoWSeS
_cell_length_a 3.3947
_cell_length_b 3.3947
_cell_length_c 39.8409
_cell_angle_alpha 90.00
_cell_angle_beta 90.00
_cell_angle_gamma 120.00
_space_group_name_H-M_alt 'P 3 m 1'
_space_group_IT_number 156
loop_
_space_group_symop_operation_xyz
'x,y,z'
'-y,x-y,z'
'-x+y,-x,z'
'-y,-x,z'
'-x+y,y,z'
'x,x-y,z'
loop_
_atom_site_label
_atom_site_fract_x
_atom_site_fract_y
_atom_site_fract_z
Te1 0.0000 0.0000 0.0000
Te2 0.0000 0.0000 0.0940
Te3 0.3333 0.6667 0.8094
Te4 0.3333 0.6667 0.9034
Mo1 0.0000 0.0000 0.8563
Mo2 0.3333 0.6667 0.0470
W1 0.0000 0.0000 0.2337
W2 0.3333 0.6667 0.4215
Se1 0.0000 0.0000 0.3800
Se2 0.0000 0.0000 0.4631
S1 0.3333 0.6667 0.1958
S2 0.3333 0.6667 0.2716
```

Top 10 peaks for 5 to 70 degrees two-theta, low angle first:
(hkl)	2theta	d/Å	I/Imax
0 0 3	6.66	13.280	409
0 0 5	11.10	7.968	1000
0 0 6	13.33	6.640	214
1 0 0	30.43	2.938	433
1 0 5	32.46	2.758	124
0 1 8	35.46	2.532	756
1 0 13	42.62	2.122	505
0 1 14	44.30	2.045	149
1 1 0	54.03	1.697	272
2 0 8	66.30	1.410	120

# Te2MoWSeS
Simulated X-ray diffraction stick pattern, Cu Kα, 1.54184 Å. Input: a DFT-relaxed cell (PBE, the Materials Project).
Peak positions follow from Bragg's law for the DFT cell and can differ from measured ones.

Structural model:
```
data_Te2MoWSeS
_cell_length_a 3.3947
_cell_length_b 3.3947
_cell_length_c 38.8341
_cell_angle_alpha 90.00
_cell_angle_beta 90.00
_cell_angle_gamma 120.00
_space_group_name_H-M_alt 'P 3 m 1'
_space_group_IT_number 156
loop_
_space_group_symop_operation_xyz
'x,y,z'
'-y,x-y,z'
'-x+y,-x,z'
'-y,-x,z'
'-x+y,y,z'
'x,x-y,z'
loop_
_atom_site_label
_atom_site_fract_x
_atom_site_fract_y
_atom_site_fract_z
Te1 0.0000 0.0000 0.0000
Te2 0.0000 0.0000 0.0971
Te3 0.3333 0.6667 0.8122
Te4 0.3333 0.6667 0.9088
Mo1 0.0000 0.0000 0.8605
Mo2 0.3333 0.6667 0.6727
W1 0.0000 0.0000 0.4849
W2 0.3333 0.6667 0.0486
Se1 0.0000 0.0000 0.6302
Se2 0.0000 0.0000 0.7152
S1 0.3333 0.6667 0.4460
S2 0.3333 0.6667 0.5237
```

Top 10 peaks for 5 to 70 degrees two-theta, low angle first:
(hkl)	2theta	d/Å	I/Imax
0 0 3	6.83	12.945	461
0 0 5	11.39	7.767	1000
1 0 0	30.43	2.938	504
1 0 5	32.57	2.750	150
1 0 8	35.70	2.515	960
0 0 16	37.01	2.429	182
0 1 13	43.17	2.095	540
1 0 14	44.93	2.018	161
1 1 0	54.03	1.697	348
0 2 8	66.46	1.407	154

# Te2MoW3Se4S2
Simulated X-ray diffraction stick pattern, Cu Kα, 1.54184 Å. Input: a DFT-relaxed cell (PBE, the Materials Project).
Peak positions follow from Bragg's law for the DFT cell and can differ from measured ones.

Structural model:
```
data_Te2MoW3Se4S2
_cell_length_a 3.3397
_cell_length_b 3.3397
_cell_length_c 38.1192
_cell_angle_alpha 90.00
_cell_angle_beta 90.00
_cell_angle_gamma 120.00
_space_group_name_H-M_alt 'P 3 m 1'
_space_group_IT_number 156
loop_
_space_group_symop_operation_xyz
'x,y,z'
'-y,x-y,z'
'-x+y,-x,z'
'-y,-x,z'
'-x+y,y,z'
'x,x-y,z'
loop_
_atom_site_label
_atom_site_fract_x
_atom_site_fract_y
_atom_site_fract_z
Te1 0.0000 0.0000 0.0000
Te2 0.0000 0.0000 0.0995
Mo1 0.3333 0.6667 0.0497
W1 0.0000 0.0000 0.2377
W2 0.0000 0.0000 0.8619
W3 0.3333 0.6667 0.4255
Se1 0.0000 0.0000 0.3816
Se2 0.0000 0.0000 0.4695
Se3 0.3333 0.6667 0.1937
Se4 0.3333 0.6667 0.2816
S1 0.3333 0.6667 0.8219
S2 0.3333 0.6667 0.9019
```

Top 10 peaks for 5 to 70 degrees two-theta, low angle first:
(hkl)	2theta	d/Å	I/Imax
0 0 3	6.96	12.706	242
0 0 5	11.61	7.624	1000
0 0 6	13.94	6.353	146
1 0 0	30.94	2.890	453
1 0 5	33.13	2.704	142
1 0 8	36.34	2.472	784
0 0 16	37.69	2.387	168
0 1 13	43.97	2.059	449
1 0 14	45.77	1.983	145
1 1 0	55.00	1.670	278